Computed XRD peak list
Compound: CsTl2SnAu2
Radiation: Cu Kα (λ = 1.5418 Å)
Structure: a structure optimized by DFT (GGA-PBE)
Peak positions follow from Bragg's law for the DFT cell and can differ from measured ones.

Most intense lines, 10 to 90 degrees two-theta, most intense first:
index  Position (°2θ)  I/Imax
1 2 1  28.07  100.0
1 1 2  29.48  86.2
0 1 3  33.82  73.7
2 0 0  35.66  62.3
2 1 3  49.96  47.4
1 3 0  33.60  32.4

Crystal structure
Lattice parameters (Å, degrees): 5.036 9.435 8.286 90.00 90.00 90.00
Positions (direct):
Cs 0.000 0.060 0.000
Cs 0.000 0.940 0.500
Tl 0.000 0.367 0.346
Tl 0.000 0.633 0.846
Tl 0.500 0.408 0.029
Tl 0.500 0.592 0.529
Sn 0.500 0.250 0.661
Sn 0.500 0.750 0.161
Au 0.000 0.361 0.699
Au 0.000 0.639 0.199
Au 0.500 0.209 0.324
Au 0.500 0.791 0.824